Structure and calculated X-ray diffraction stick pattern of SrAg (a GGA-PBE-relaxed structure; λ = 1.5418 Å (Cu Kα)).

```
SrAg
1.0
41.567 0.000 0.000
0.000 4.843 0.000
0.000 0.000 6.423
Sr Ag
20 20
Cartesian
1.493 1.211 0.851 Sr
2.660 3.632 4.064 Sr
5.656 1.211 2.355 Sr
6.814 3.632 5.610 Sr
9.805 1.211 3.902 Sr
10.978 3.632 0.690 Sr
13.970 1.211 2.398 Sr
15.127 3.632 5.566 Sr
18.123 1.211 0.852 Sr
19.290 3.632 4.063 Sr
22.277 1.211 2.360 Sr
23.444 3.632 5.571 Sr
26.440 1.211 0.857 Sr
27.597 3.632 4.025 Sr
30.589 1.211 5.733 Sr
31.762 3.632 2.522 Sr
34.753 1.211 0.813 Sr
35.911 3.632 4.069 Sr
38.907 1.211 2.359 Sr
40.073 3.632 5.572 Sr
0.290 1.211 4.004 Ag
3.859 3.632 0.796 Ag
4.445 1.211 5.632 Ag
8.023 3.632 2.333 Ag
8.611 1.211 0.748 Ag
12.172 3.632 3.960 Ag
12.760 1.211 5.544 Ag
16.339 3.632 2.421 Ag
16.924 1.211 4.008 Ag
20.493 3.632 0.792 Ag
21.074 1.211 5.631 Ag
24.643 3.632 2.416 Ag
25.228 1.211 4.003 Ag
28.807 3.632 0.879 Ag
29.395 1.211 2.464 Ag
32.956 3.632 5.675 Ag
33.543 1.211 4.091 Ag
37.122 3.632 0.791 Ag
37.708 1.211 5.627 Ag
41.277 3.632 2.420 Ag
```

Most intense lines, 2θ from 15° to 90°, by angle:
- 2θ = 28.3°, rel. 51
- 2θ = 29.8°, rel. 35
- 2θ = 31.6°, rel. 28
- 2θ = 35.2°, rel. 100
- 2θ = 37.1°, rel. 36
- 2θ = 48.3°, rel. 19

---

Structure and calculated X-ray diffraction stick pattern of Tb3P6Pd20 (a GGA-PBE-relaxed structure; λ = 1.5418 Å (Cu Kα)).

```
Tb3P6Pd20
1.0
0.000 6.156 6.156
6.156 0.000 6.156
6.156 6.156 0.000
Tb P Pd
3 6 20
Cartesian
0.000 0.000 0.000 Tb
3.078 3.078 3.078 Tb
9.235 9.235 9.235 Tb
6.156 6.156 3.242 P
6.156 3.242 6.156 P
9.071 6.156 6.156 P
3.242 6.156 6.156 P
6.156 9.071 6.156 P
6.156 6.156 9.071 P
2.130 2.130 0.000 Pd
4.026 4.026 0.000 Pd
2.130 0.000 2.130 Pd
6.156 4.026 2.130 Pd
4.026 0.000 4.026 Pd
6.156 2.130 4.026 Pd
7.575 4.737 4.737 Pd
0.000 2.130 2.130 Pd
4.026 6.156 2.130 Pd
4.026 2.130 6.156 Pd
4.737 4.737 4.737 Pd
7.575 7.575 4.737 Pd
7.575 4.737 7.575 Pd
4.737 7.575 4.737 Pd
4.737 4.737 7.575 Pd
7.575 7.575 7.575 Pd
0.000 4.026 4.026 Pd
2.130 6.156 4.026 Pd
2.130 4.026 6.156 Pd
4.737 7.575 7.575 Pd
```

Most intense lines, 2θ from 15° to 90°, by angle:
- 2θ = 32.5°, rel. 23
- 2θ = 35.7°, rel. 35
- 2θ = 38.0°, rel. 100
- 2θ = 41.5°, rel. 33
- 2θ = 43.5°, rel. 22
- 2θ = 64.2°, rel. 30

---

Structure and calculated X-ray diffraction stick pattern of Rb2Nb2P2S11 (a GGA-PBE-relaxed structure; λ = 1.5418 Å (Cu Kα)).

```
Rb2Nb2P2S11
1.0
7.135 0.000 0.000
0.000 7.148 0.000
-2.822 0.000 18.672
Rb Nb P S
4 4 4 22
Cartesian
0.000 0.000 0.000 Rb
-1.214 0.065 9.173 Rb
1.963 3.636 9.401 Rb
0.850 3.633 18.526 Rb
3.277 2.205 4.548 Nb
3.324 5.027 4.491 Nb
4.626 1.511 14.021 Nb
4.710 5.757 14.031 Nb
-1.451 3.659 11.663 P
2.253 0.094 6.895 P
3.759 0.067 1.903 P
4.232 3.617 16.559 P
-2.590 3.606 18.567 S
-1.329 3.632 15.365 S
-0.930 0.064 15.066 S
-0.510 5.339 12.402 S
-0.488 1.923 12.353 S
1.285 5.494 6.137 S
1.299 1.672 6.168 S
1.720 3.659 3.454 S
2.143 0.045 3.225 S
0.663 0.012 18.657 S
2.344 0.071 8.875 S
2.615 0.083 13.584 S
4.024 3.621 6.395 S
4.122 0.011 5.960 S
4.796 1.682 2.619 S
4.881 5.538 2.601 S
3.147 1.982 15.978 S
3.155 5.268 15.944 S
3.793 3.619 12.511 S
3.990 0.059 12.100 S
5.385 3.633 4.906 S
5.593 3.665 9.643 S
```

Most intense lines, 2θ from 15° to 90°, by angle:
- 2θ = 19.0°, rel. 62
- 2θ = 26.7°, rel. 98
- 2θ = 29.4°, rel. 66
- 2θ = 32.4°, rel. 100
- 2θ = 38.1°, rel. 85
- 2θ = 38.3°, rel. 71